Diffraction record for Ba6IrAu2. The PXRD pattern is theoretical, not measured: it uses a DFT-relaxed cell (PBE, Alexandria) and Cu Ka.
Peak positions follow from Bragg's law for the DFT cell and can differ from measured ones.

Principal peaks in the range 2θ = 5–70°, in order of rising 2θ:
2θ = 13.26°, I 87; 2θ = 20.48°, I 53; 2θ = 24.74°, I 49; 2θ = 25.10°, I 96; 2θ = 32.12°, I 52; 2θ = 32.41°, I 100; 2θ = 38.43°, I 62; 2θ = 39.16°, I 29; 2θ = 51.52°, I 26; 2θ = 62.85°, I 32

Crystal structure
Lattice parameters (Å, degrees): 8.1638 7.6255 16.0350 90.00 120.59 90.00
Positions (direct):
1 Ba 0.0008 0.2318 0.3420
2 Ba 0.0008 0.2682 0.8420
3 Ba 0.3164 0.2327 0.6579
4 Ba 0.3164 0.2673 0.1579
5 Ba 0.3158 0.7236 0.0002
6 Ba 0.3158 0.7764 0.5002
7 Ba 0.6842 0.2236 0.4998
8 Ba 0.6842 0.2764 0.9998
9 Ba 0.6836 0.7327 0.8421
10 Ba 0.6836 0.7673 0.3421
11 Ba 0.9992 0.7318 0.1580
12 Ba 0.9992 0.7682 0.6580
13 Ir 0.0000 0.0000 0.5000
14 Ir 0.0000 0.5000 0.0000
15 Au 0.3237 0.5007 0.8236
16 Au 0.3237 0.9993 0.3236
17 Au 0.6763 0.0007 0.6764
18 Au 0.6763 0.4993 0.1764

---

Diffraction record for BaIr2Au. The PXRD pattern is theoretical, not measured: it uses a DFT-relaxed cell (PBE, Alexandria) and Cu Ka.
Peak positions follow from Bragg's law for the DFT cell and can differ from measured ones.

Principal peaks in the range 2θ = 5–70°, in order of rising 2θ:
2θ = 15.66°, I 100; 2θ = 22.86°, I 7; 2θ = 30.73°, I 16; 2θ = 31.62°, I 46; 2θ = 34.63°, I 7; 2θ = 39.04°, I 85; 2θ = 42.28°, I 35; 2θ = 42.36°, I 17; 2θ = 51.03°, I 49; 2θ = 51.18°, I 24

Crystal structure
Lattice parameters (Å, degrees): 4.6140 4.6140 6.2646 111.81 111.81 60.00
Positions (direct):
1 Ba 0.0000 0.0000 0.0000
2 Ir 0.1763 0.1763 0.5288
3 Ir 0.8237 0.8237 0.4712
4 Au 0.5000 0.5000 0.5000